Entry 1:
The following is a theoretical powder diffractogram of In9Sn4S17. It was derived from a cell relaxed with GGA-PBE, using Cu Kα.
Lines closer than 0.1° are merged.

Structural model:
```
data_In9Sn4S17
_chemical_formula_sum 'In18 Sn8 S34'
_cell_length_a 15.4889
_cell_length_b 22.8452
_cell_length_c 3.8607
_cell_angle_alpha 90.00
_cell_angle_beta 90.00
_cell_angle_gamma 90.00
_space_group_name_H-M_alt 'P b a m'
_space_group_IT_number 55
loop_
_space_group_symop_operation_xyz
'x,y,z'
'-x,-y,-z'
'-x,-y,z'
'x,y,-z'
'x+1/2,-y+1/2,-z'
'-x+1/2,y+1/2,z'
'-x+1/2,y+1/2,-z'
'x+1/2,-y+1/2,z'
loop_
_atom_site_label
_atom_site_type_symbol
_atom_site_fract_x
_atom_site_fract_y
_atom_site_fract_z
_atom_site_occupancy
In1 In 0.0000 0.0000 0.0000 1
In2 In 0.0491 0.4238 0.0000 1
In3 In 0.0595 0.1402 0.5000 1
In4 In 0.1642 0.2642 0.0000 1
In5 In 0.2330 0.8922 0.5000 1
Sn1 Sn 0.1050 0.7135 0.5000 1
Sn2 Sn 0.2209 0.5665 0.5000 1
S1 S 0.0000 0.5000 0.5000 1
S2 S 0.0172 0.2129 0.0000 1
S3 S 0.0682 0.9337 0.5000 1
S4 S 0.1022 0.3458 0.5000 1
S5 S 0.1098 0.6279 0.0000 1
S6 S 0.1306 0.0733 0.0000 1
S7 S 0.1929 0.8195 0.0000 1
S8 S 0.2129 0.4638 0.0000 1
S9 S 0.2178 0.1950 0.5000 1
```

Principal peaks in the range 2θ from 10° to 80°, in order of rising 2θ:
- 23.2 deg, d 3.829, intensity 38, (3 4 0)
- 24.3 deg, d 3.667, intensity 50, (4 2 0)
- 25.8 deg, d 3.452, intensity 77, (4 3 0)
- 26.1 deg, d 3.418, intensity 57, (3 5 0)
- 27.0 deg, d 3.307, intensity 41, (2 2 1)
- 30.9 deg, d 2.897, intensity 57, (1 5 1)
- 32.5 deg, d 2.756, intensity 100, (2 5 1)
- 33.6 deg, d 2.670, intensity 60, (1 6 1)
- 35.0 deg, d 2.561, intensity 47, (2 6 1)
- 47.1 deg, d 1.930, intensity 71, (0 0 2)


Entry 2:
The following is a theoretical powder diffractogram of In6Sn8S19. It was derived from a cell relaxed with GGA-PBE, using Cu Kα.
Lines closer than 0.1° are merged.

Structural model:
```
data_In6Sn8S19
_chemical_formula_sum 'In6 Sn8 S19'
_cell_length_a 3.8710
_cell_length_b 15.0523
_cell_length_c 15.1021
_cell_angle_alpha 115.24
_cell_angle_beta 96.62
_cell_angle_gamma 97.32
_space_group_name_H-M_alt 'P 1'
_space_group_IT_number 1
loop_
_space_group_symop_operation_xyz
'x,y,z'
loop_
_atom_site_label
_atom_site_type_symbol
_atom_site_fract_x
_atom_site_fract_y
_atom_site_fract_z
_atom_site_occupancy
In1 In 0.0000 0.0000 0.0000 1
In2 In 0.0303 0.7498 0.2930 1
In3 In 0.2656 0.0355 0.5185 1
In4 In 0.5950 0.5477 0.6417 1
In5 In 0.6259 0.9712 0.2698 1
In6 In 0.6701 0.8142 0.5408 1
Sn1 Sn 0.3000 0.7837 0.8130 1
Sn2 Sn 0.3433 0.4333 0.0488 1
Sn3 Sn 0.3714 0.6673 0.0268 1
Sn4 Sn 0.4478 0.4910 0.3488 1
Sn5 Sn 0.7090 0.2385 0.1703 1
Sn6 Sn 0.8665 0.2958 0.4778 1
Sn7 Sn 0.9142 0.1109 0.7806 1
Sn8 Sn 0.9360 0.3495 0.7700 1
S1 S 0.0230 0.8396 0.1789 1
S2 S 0.0641 0.6950 0.4340 1
S3 S 0.1245 0.1926 0.0407 1
S4 S 0.1833 0.5987 0.7723 1
S5 S 0.2306 0.0883 0.3785 1
S6 S 0.2737 0.9458 0.6311 1
S7 S 0.3001 0.2897 0.3038 1
S8 S 0.4225 0.9707 0.8694 1
S9 S 0.4313 0.6319 0.1908 1
S10 S 0.4724 0.3627 0.6208 1
S11 S 0.5193 0.2580 0.8481 1
S12 S 0.5937 0.0493 0.1384 1
S13 S 0.6466 0.8902 0.4046 1
S14 S 0.7114 0.7423 0.6765 1
S15 S 0.7715 0.5218 0.9646 1
S16 S 0.8262 0.4210 0.1951 1
S17 S 0.8639 0.1516 0.6210 1
S18 S 0.8700 0.8072 0.9388 1
S19 S 0.9889 0.4875 0.5018 1
```

Principal peaks in the range 2θ from 10° to 80°, in order of rising 2θ:
- 18.3 deg, d 4.853, intensity 65, (0 2 -3)
- 23.6 deg, d 3.763, intensity 57, (0 1 3)
- 24.4 deg, d 3.643, intensity 90, (0 4 -1)
- 25.1 deg, d 3.548, intensity 97, (0 3 -4)
- 28.5 deg, d 3.133, intensity 63, (1 1 1)
- 28.9 deg, d 3.093, intensity 55, (-1 2 2)
- 31.7 deg, d 2.822, intensity 69, (1 -1 3)
- 32.2 deg, d 2.783, intensity 100, (1 0 -4)
- 46.9 deg, d 1.935, intensity 70, (-2 1 1)
- 47.1 deg, d 1.929, intensity 55, (1 4 2)